Theoretical powder diffraction line list
Compound: La5In2Bi
Radiation: λ = 1.5418 Å (Cu Kα)
Structure: a DFT-relaxed cell (GGA-PBE, Alexandria)
Intensities are scaled so that the largest is 100.

Principal peaks in the range 10 to 90 degrees two-theta, in order of falling intensity:
- 30.0 deg, I 100
- 31.9 deg, I 62
- 33.3 deg, I 29
- 59.8 deg, I 24
- 28.5 deg, I 17
- 46.8 deg, I 13
- 51.4 deg, I 12
- 45.7 deg, I 10
- 41.8 deg, I 9
- 42.6 deg, I 9
- 64.3 deg, I 9
- 60.4 deg, I 8

```
16
Lattice="-4.4365 4.4365 6.7672 4.4365 -4.4365 6.7672 4.4365 4.4365 -6.7672" Properties=species:S:1:pos:R:3 pbc="T T T"
La 0.0000 0.0000 0.0000
La 5.9090 1.4725 -2.0625
La 1.4725 2.9639 -2.0625
La 5.9090 1.4725 2.0625
La 1.4725 2.9639 2.0625
La 0.0000 0.0000 6.7672
La 2.9639 1.4725 4.7048
La -1.4725 2.9639 4.7048
La 2.9639 1.4725 8.8297
La -1.4725 2.9639 8.8297
In 3.2784 1.1581 0.0000
In 3.2784 -1.1581 6.7672
In 1.1581 5.5946 0.0000
In 1.1581 3.2784 6.7672
Bi 0.0000 0.0000 3.3836
Bi 0.0000 0.0000 10.1509
```

***

Theoretical powder diffraction line list
Compound: Li2In3Bi2
Radiation: λ = 1.5418 Å (Cu Kα)
Structure: a DFT-relaxed cell (GGA-PBE, Alexandria)
Intensities are scaled so that the largest is 100.

Principal peaks in the range 10 to 90 degrees two-theta, in order of falling intensity:
- 35.4 deg, I 100
- 33.5 deg, I 96
- 20.1 deg, I 92
- 28.5 deg, I 50
- 66.5 deg, I 47
- 38.1 deg, I 42
- 36.8 deg, I 41
- 28.9 deg, I 38
- 21.3 deg, I 37
- 40.8 deg, I 34
- 56.1 deg, I 26
- 42.4 deg, I 22

```
7
Lattice="1.6923 -12.3678 0.0000 1.6923 12.3678 0.0000 0.0000 0.0000 4.4211" Properties=species:S:1:pos:R:3 pbc="T T T"
Li 1.6923 9.0862 0.0000
Li 1.6923 -9.0862 0.0000
In 0.0000 0.0000 0.0000
In 1.6923 1.6146 2.2105
In 1.6923 -1.6146 2.2105
Bi 1.6923 4.6502 2.2105
Bi 1.6923 -4.6502 2.2105
```

***

Theoretical powder diffraction line list
Compound: Li3In2Bi
Radiation: λ = 1.5418 Å (Cu Kα)
Structure: a DFT-relaxed cell (GGA-PBE, Alexandria)
Intensities are scaled so that the largest is 100.

Principal peaks in the range 10 to 90 degrees two-theta, in order of falling intensity:
- 25.5 deg, I 100
- 36.7 deg, I 42
- 36.1 deg, I 42
- 45.2 deg, I 22
- 59.6 deg, I 19
- 58.8 deg, I 16
- 65.7 deg, I 15
- 52.4 deg, I 14
- 64.6 deg, I 9
- 88.1 deg, I 8
- 83.7 deg, I 8
- 66.1 deg, I 8

```
6
Lattice="4.8993 0.0000 0.0000 -2.4496 4.2429 0.0000 0.0000 0.0000 6.1345" Properties=species:S:1:pos:R:3 pbc="T T T"
Li 0.0000 0.0000 0.0000
Li 0.0000 2.8286 4.0177
Li 2.4496 1.4143 2.1168
In 0.0000 2.8286 0.8566
In 2.4496 1.4143 5.2779
Bi 0.0000 0.0000 3.0672
```

***

Copy entry 1 word for word.
Theoretical powder diffraction line list
Compound: La5In2Bi
Radiation: λ = 1.5418 Å (Cu Kα)
Structure: a DFT-relaxed cell (GGA-PBE, Alexandria)
Intensities are scaled so that the largest is 100.

Principal peaks in the range 10 to 90 degrees two-theta, in order of falling intensity:
- 30.0 deg, I 100
- 31.9 deg, I 62
- 33.3 deg, I 29
- 59.8 deg, I 24
- 28.5 deg, I 17
- 46.8 deg, I 13
- 51.4 deg, I 12
- 45.7 deg, I 10
- 41.8 deg, I 9
- 42.6 deg, I 9
- 64.3 deg, I 9
- 60.4 deg, I 8

```
16
Lattice="-4.4365 4.4365 6.7672 4.4365 -4.4365 6.7672 4.4365 4.4365 -6.7672" Properties=species:S:1:pos:R:3 pbc="T T T"
La 0.0000 0.0000 0.0000
La 5.9090 1.4725 -2.0625
La 1.4725 2.9639 -2.0625
La 5.9090 1.4725 2.0625
La 1.4725 2.9639 2.0625
La 0.0000 0.0000 6.7672
La 2.9639 1.4725 4.7048
La -1.4725 2.9639 4.7048
La 2.9639 1.4725 8.8297
La -1.4725 2.9639 8.8297
In 3.2784 1.1581 0.0000
In 3.2784 -1.1581 6.7672
In 1.1581 5.5946 0.0000
In 1.1581 3.2784 6.7672
Bi 0.0000 0.0000 3.3836
Bi 0.0000 0.0000 10.1509
```

***

Question: What is the formula in the first record?
Answer: La5In2Bi